No. 1
The following is a computed powder diffractogram of Pu3InHg12. It was derived from a crystal structure in Alexandria, relaxed with PBE, using CuKα.
Intensities are scaled so that the largest is 100.

Atomic structure:
```
Pu3InHg12
1.0
4.750 0.000 0.000
0.000 4.750 0.000
0.000 0.000 18.258
Pu In Hg
3 1 12
Cartesian
0.000 0.000 0.000
0.000 0.000 4.672
0.000 0.000 13.586
0.000 0.000 9.129
0.000 2.375 2.319
0.000 2.375 6.907
0.000 2.375 11.351
0.000 2.375 15.939
2.375 0.000 2.319
2.375 0.000 6.907
2.375 0.000 11.351
2.375 0.000 15.939
2.375 2.375 0.000
2.375 2.375 4.602
2.375 2.375 9.129
2.375 2.375 13.656
```

Most intense lines, 2θ = 10–80°, sorted by position:
2θ/deg	I/Imax
30.40	1
33.11	100
37.88	35
39.48	16
54.65	12
55.87	23
62.41	1
65.41	29
67.59	13
69.49	12

No. 2
The following is a computed powder diffractogram of AcTb2. It was derived from a crystal structure in Alexandria, relaxed with PBE, using CuKα.
Intensities are scaled so that the largest is 100.

Atomic structure:
```
AcTb2
1.0
3.739 0.000 0.000
-0.005 7.400 0.000
-1.863 -1.912 7.783
Ac Tb
2 4
Cartesian
0.003 -0.002 2.527
1.868 5.490 5.256
-0.002 3.670 2.563
1.868 1.969 0.005
0.003 3.519 7.777
1.873 1.818 5.220
```

Most intense lines, 2θ = 10–80°, sorted by position:
2θ/deg	I/Imax
29.45	100
29.54	49
29.77	48
34.09	68
34.57	33
49.21	36
49.49	24
58.00	15
58.13	15
58.80	21

No. 3
The following is a computed powder diffractogram of NbInHg2. It was derived from a crystal structure in Alexandria, relaxed with PBE, using CuKα.
Intensities are scaled so that the largest is 100.

Atomic structure:
```
NbInHg2
1.0
1.562 0.902 11.156
-1.562 0.902 11.156
0.000 -1.803 11.156
Nb In Hg
1 1 2
Cartesian
0.000 0.000 0.000
0.000 0.000 16.734
0.000 0.000 2.856
0.000 0.000 30.613
```

Most intense lines, 2θ = 10–80°, sorted by position:
2θ/deg	I/Imax
15.89	38
32.09	85
33.23	66
33.56	100
35.80	75
38.23	53
42.99	64
44.83	34
59.16	45
68.91	57